1.
# TbEr2Co2B2N3
Calculated powder diffraction line list, a wavelength of 1.5418 Å. Input: DFT lattice parameters and positions (PBE).

Principal peaks in the range 2θ from 10° to 90°, by intensity:
- 2θ 29.2, rel. 100.0
- 2θ 34.4, rel. 80.3
- 2θ 36.1, rel. 49.9
- 2θ 36.9, rel. 41.2
- 2θ 38.0, rel. 36.1
- 2θ 53.1, rel. 35.3
- 2θ 41.2, rel. 34.3
- 2θ 65.9, rel. 33.1
- 2θ 64.8, rel. 26.8
- 2θ 61.7, rel. 26.2
- 2θ 52.6, rel. 25.5
- 2θ 46.2, rel. 19.5

Cell and atoms:
```
data_TbEr2Co2B2N3
_chemical_formula_sum 'Tb1 Er2 Co2 B2 N3'
_cell_length_a 10.2363
_cell_length_b 10.2363
_cell_length_c 10.2363
_cell_angle_alpha 160.60
_cell_angle_beta 160.60
_cell_angle_gamma 27.57
_space_group_name_H-M_alt 'P 1'
_space_group_IT_number 1
_space_group_name_Hall 'P 1'
loop_
_atom_site_label
_atom_site_type_symbol
_atom_site_fract_x
_atom_site_fract_y
_atom_site_fract_z
Tb1 Tb 0.0000 0.0000 0.0000
Er1 Er 0.3760 0.3760 0.0000
Er2 Er 0.6240 0.6240 0.0000
Co1 Co 0.2500 0.7500 0.5000
Co2 Co 0.7500 0.2500 0.5000
B1 B 0.1937 0.1937 0.0000
B2 B 0.8063 0.8063 0.0000
N1 N 0.1180 0.1180 0.0000
N2 N 0.5000 0.5000 0.0000
N3 N 0.8820 0.8820 0.0000
```

2.
# Nd2Pu
Calculated powder diffraction line list, a wavelength of 1.5418 Å. Input: DFT lattice parameters and positions (PBE).

Principal peaks in the range 2θ from 10° to 90°, by intensity:
- 2θ 12.6, rel. 100.0
- 2θ 32.0, rel. 33.5
- 2θ 43.9, rel. 28.4
- 2θ 20.6, rel. 27.8
- 2θ 41.9, rel. 23.0
- 2θ 25.3, rel. 17.8
- 2θ 53.6, rel. 15.9
- 2θ 36.0, rel. 13.9
- 2θ 70.3, rel. 10.7
- 2θ 49.5, rel. 8.6
- 2θ 77.9, rel. 8.1
- 2θ 76.5, rel. 8.0

Cell and atoms:
```
data_Nd2Pu
_chemical_formula_sum 'Nd4 Pu2'
_cell_length_a 8.6311
_cell_length_b 8.6311
_cell_length_c 8.6311
_cell_angle_alpha 60.00
_cell_angle_beta 60.00
_cell_angle_gamma 60.00
_space_group_name_H-M_alt 'P 1'
_space_group_IT_number 1
_space_group_name_Hall 'P 1'
loop_
_atom_site_label
_atom_site_type_symbol
_atom_site_fract_x
_atom_site_fract_y
_atom_site_fract_z
Nd1 Nd 0.0000 0.0000 0.0000
Nd2 Nd 0.0000 0.0000 0.5000
Nd3 Nd 0.0000 0.5000 0.0000
Nd4 Nd 0.5000 0.0000 0.0000
Pu1 Pu 0.1250 0.1250 0.1250
Pu2 Pu 0.8750 0.8750 0.8750
```

3.
# CdH3Cl3O
Calculated powder diffraction line list, a wavelength of 1.5418 Å. Input: DFT lattice parameters and positions (PBE).

Principal peaks in the range 2θ from 10° to 90°, by intensity:
- 2θ 11.8, rel. 100.0
- 2θ 32.7, rel. 52.3
- 2θ 25.2, rel. 36.8
- 2θ 37.3, rel. 32.4
- 2θ 15.6, rel. 26.6
- 2θ 31.5, rel. 24.4
- 2θ 45.6, rel. 24.1
- 2θ 23.7, rel. 22.9
- 2θ 31.0, rel. 18.3
- 2θ 49.3, rel. 17.2
- 2θ 27.2, rel. 15.2
- 2θ 45.2, rel. 14.3

Cell and atoms:
```
data_CdH3Cl3O
_chemical_formula_sum 'Cd4 H12 Cl12 O4'
_cell_length_a 8.6716
_cell_length_b 4.0093
_cell_length_c 15.0685
_cell_angle_alpha 90.00
_cell_angle_beta 90.00
_cell_angle_gamma 90.00
_space_group_name_H-M_alt 'P 1'
_space_group_IT_number 1
_space_group_name_Hall 'P 1'
loop_
_atom_site_label
_atom_site_type_symbol
_atom_site_fract_x
_atom_site_fract_y
_atom_site_fract_z
Cd1 Cd 0.1847 0.2500 0.0395
Cd2 Cd 0.3153 0.7500 0.5395
Cd3 Cd 0.6847 0.2500 0.4605
Cd4 Cd 0.8153 0.7500 0.9605
H1 H 0.0097 0.0484 0.6889
H2 H 0.0097 0.4516 0.6889
H3 H 0.1426 0.7500 0.2724
H4 H 0.3574 0.2500 0.7724
H5 H 0.4903 0.5484 0.1890
H6 H 0.4903 0.9516 0.1890
H7 H 0.5097 0.0484 0.8111
H8 H 0.5097 0.4516 0.8111
H9 H 0.6426 0.7500 0.2276
H10 H 0.8574 0.2500 0.7276
H11 H 0.9903 0.5484 0.3110
H12 H 0.9903 0.9516 0.3110
Cl1 Cl 0.9999 0.2500 0.8955
Cl2 Cl 0.0001 0.7500 0.1045
Cl3 Cl 0.1590 0.2500 0.4845
Cl4 Cl 0.1796 0.7500 0.7053
Cl5 Cl 0.3204 0.2500 0.2053
Cl6 Cl 0.3410 0.7500 0.9845
Cl7 Cl 0.4999 0.2500 0.6045
Cl8 Cl 0.5001 0.7500 0.3955
Cl9 Cl 0.6590 0.2500 0.0155
Cl10 Cl 0.6796 0.7500 0.7947
Cl11 Cl 0.8204 0.2500 0.2947
Cl12 Cl 0.8410 0.7500 0.5155
O1 O 0.0632 0.7500 0.3194
O2 O 0.4368 0.2500 0.8194
O3 O 0.5632 0.7500 0.1806
O4 O 0.9368 0.2500 0.6806
```

4.
# Dy2Y3Tm2Cu2Te2
Calculated powder diffraction line list, a wavelength of 1.5418 Å. Input: DFT lattice parameters and positions (PBE).

Principal peaks in the range 2θ from 10° to 90°, by intensity:
- 2θ 33.7, rel. 100.0
- 2θ 34.1, rel. 77.4
- 2θ 33.0, rel. 71.4
- 2θ 29.8, rel. 42.2
- 2θ 24.3, rel. 33.9
- 2θ 45.8, rel. 32.3
- 2θ 57.6, rel. 28.9
- 2θ 38.0, rel. 26.1
- 2θ 30.3, rel. 26.0
- 2θ 36.2, rel. 18.1
- 2θ 50.9, rel. 17.0
- 2θ 34.7, rel. 16.6

Cell and atoms:
```
data_Dy2Y3Tm2Cu2Te2
_chemical_formula_sum 'Dy2 Y3 Tm2 Cu2 Te2'
_cell_length_a 9.3216
_cell_length_b 9.3216
_cell_length_c 9.3216
_cell_angle_alpha 155.46
_cell_angle_beta 67.47
_cell_angle_gamma 118.26
_space_group_name_H-M_alt 'P 1'
_space_group_IT_number 1
_space_group_name_Hall 'P 1'
loop_
_atom_site_label
_atom_site_type_symbol
_atom_site_fract_x
_atom_site_fract_y
_atom_site_fract_z
Dy1 Dy 0.1291 0.0000 0.1291
Dy2 Dy 0.8709 0.0000 0.8709
Y1 Y 0.2029 0.8466 0.3563
Y2 Y 0.4903 0.8466 0.6437
Y3 Y 0.5867 0.5867 0.0000
Tm1 Tm 0.5195 0.2048 0.3147
Tm2 Tm 0.8901 0.2048 0.6853
Cu1 Cu 0.2765 0.5139 0.7626
Cu2 Cu 0.7512 0.5139 0.2374
Te1 Te 0.2487 0.2487 0.0000
Te2 Te 0.8477 0.3477 0.5000
```